Simulated XRD peak list
Compound: Tl3SeS3
Radiation: λ = 1.5418 Å (Cu Kα)
Structure: the PBE geometry in Alexandria
Intensities are scaled so that the largest is 100.

```
data_Tl3SeS3
_space_group_name_H-M_alt 'P 1 21/m 1'
_space_group_IT_number 11
_cell_length_a 7.796
_cell_length_b 5.963
_cell_length_c 9.117
_cell_angle_alpha 90.00
_cell_angle_beta 94.66
_cell_angle_gamma 90.00
loop_
_space_group_symop_operation_xyz
'x,y,z'
'-x,-y,-z'
'-x,y+1/2,-z'
'x,-y+1/2,z'
loop_
_atom_site_label
_atom_site_type_symbol
_atom_site_fract_x
_atom_site_fract_y
_atom_site_fract_z
_atom_site_occupancy
Tl1 Tl 0.173 0.250 0.066 1
Tl2 Tl 0.301 0.750 0.375 1
Tl3 Tl 0.302 0.750 0.775 1
Se1 Se 0.166 0.250 0.633 1
S1 S 0.169 0.750 0.069 1
S2 S 0.278 0.250 0.418 1
S3 S 0.394 0.250 0.803 1
```

The 10 most intense peaks (10 to 90 degrees two-theta), sorted by position:
| Position (°2θ) | d (Å) | I (rel.) | hkl |
| --- | --- | --- | --- |
| 22.9 | 3.885 | 84 | 2 0 0 |
| 24.6 | 3.614 | 90 | 0 1 2 |
| 27.4 | 3.255 | 66 | 2 1 0 |
| 27.9 | 3.199 | 38 | 1 1 2 |
| 29.0 | 3.079 | 36 | 2 0 -2 |
| 30.0 | 2.981 | 100 | 0 2 0 |
| 30.8 | 2.903 | 50 | 1 0 -3 |
| 38.0 | 2.365 | 45 | 2 2 0 |
| 42.2 | 2.143 | 39 | 2 2 -2 |
| 43.5 | 2.080 | 39 | 1 2 -3 |

=====

Simulated XRD peak list
Compound: Tl5Se2S
Radiation: λ = 1.5418 Å (Cu Kα)
Structure: the PBE geometry in Alexandria
Intensities are scaled so that the largest is 100.

```
data_Tl5Se2S
_space_group_name_H-M_alt 'P 1'
_space_group_IT_number 1
_cell_length_a 5.662
_cell_length_b 7.764
_cell_length_c 7.841
_cell_angle_alpha 109.47
_cell_angle_beta 101.95
_cell_angle_gamma 111.31
loop_
_space_group_symop_operation_xyz
'x,y,z'
loop_
_atom_site_label
_atom_site_type_symbol
_atom_site_fract_x
_atom_site_fract_y
_atom_site_fract_z
_atom_site_occupancy
Tl1 Tl 0.000 0.000 0.000 1
Tl2 Tl 0.012 0.556 0.141 1
Tl3 Tl 0.200 0.728 0.665 1
Tl4 Tl 0.272 0.272 0.715 1
Tl5 Tl 0.601 0.126 0.327 1
Se1 Se 0.507 0.695 0.014 1
Se2 Se 0.715 0.152 0.742 1
S1 S 0.176 0.343 0.390 1
```

The 10 most intense peaks (10 to 90 degrees two-theta), sorted by position:
| Position (°2θ) | d (Å) | I (rel.) | hkl |
| --- | --- | --- | --- |
| 24.6 | 3.615 | 63 | 0 2 -1 |
| 25.6 | 3.486 | 52 | 1 0 -2 |
| 26.0 | 3.425 | 56 | 1 0 1 |
| 27.6 | 3.236 | 55 | 1 1 -2 |
| 30.6 | 2.918 | 63 | -1 2 1 |
| 31.9 | 2.807 | 64 | 1 -2 2 |
| 34.0 | 2.635 | 100 | 2 0 -1 |
| 34.7 | 2.587 | 28 | 0 1 2 |
| 35.3 | 2.540 | 36 | 0 1 -3 |
| 40.3 | 2.236 | 25 | 1 2 -3 |